No. 1
The following is a calculated powder XRD pattern of Hf8BeSb2. It was derived from a cell relaxed with GGA-PBE, using Cu Kα (λ = 1.5418 Å).
Intensities are scaled so that the largest is 100.

```
Hf8BeSb2
1.0
8.2459 -1.8951 0.0000
8.2459 1.8951 0.0000
-0.4963 0.0000 7.5961
Hf Be Sb
8 1 2
Cartesian
0.1881 0.0000 1.6932 Hf
3.1872 0.0000 2.7290 Hf
5.2527 0.0000 7.2585 Hf
6.5572 0.0000 3.6583 Hf
9.4383 0.0000 3.9378 Hf
10.7427 0.0000 0.3375 Hf
12.8083 0.0000 4.8671 Hf
15.8074 0.0000 5.9029 Hf
8.2459 0.0000 0.0000 Be
2.5106 0.0000 5.7831 Sb
13.4849 0.0000 1.8130 Sb
```

Peak list (10 most intense, 2θ from 10° to 80°, in order of falling intensity)
two_theta  d_spacing  I (rel.)
33.60  2.667  100.0
36.14  2.485  46.7
38.67  2.328  33.0
34.04  2.634  30.8
33.13  2.704  25.2
48.01  1.895  23.5
37.85  2.377  15.9
30.58  2.923  14.4
31.41  2.848  14.1
39.24  2.296  13.8


No. 2
The following is a calculated powder XRD pattern of Hf2ScBe9. It was derived from a cell relaxed with GGA-PBE, using Cu Kα (λ = 1.5418 Å).
Intensities are scaled so that the largest is 100.

```
Hf2ScBe9
1.0
2.3346 1.3479 7.3766
-2.3346 1.3479 7.3766
0.0000 -2.6957 7.3766
Hf Sc Be
2 1 9
Cartesian
0.0000 0.0000 3.1383 Hf
0.0000 0.0000 18.9916 Hf
0.0000 0.0000 0.0000 Sc
-1.1740 -0.6778 9.1457 Be
0.0000 0.0000 7.3992 Be
0.0000 -1.3557 12.9841 Be
-1.1740 0.6778 12.9841 Be
0.0000 0.0000 11.0649 Be
1.1740 -0.6778 9.1457 Be
0.0000 1.3557 9.1457 Be
0.0000 0.0000 14.7306 Be
1.1740 0.6778 12.9841 Be
```

Peak list (10 most intense, 2θ from 10° to 80°, in order of falling intensity)
two_theta  d_spacing  I (rel.)
12.00  7.377  100.0
22.35  3.978  67.1
36.06  2.491  53.6
27.32  3.265  51.3
38.56  2.335  46.3
40.53  2.226  35.1
46.01  1.973  27.4
39.47  2.283  22.0
63.13  1.473  20.5
24.13  3.688  17.6


No. 3
The following is a calculated powder XRD pattern of Hf3BeSi2. It was derived from a cell relaxed with GGA-PBE, using Cu Kα (λ = 1.5418 Å).
Intensities are scaled so that the largest is 100.

```
Hf3BeSi2
1.0
10.5534 0.0000 0.0000
0.0000 3.6670 0.0000
0.0000 0.0000 10.3283
Hf Be Si
12 4 8
Cartesian
0.5186 0.9168 1.2503 Hf
1.2436 2.7503 5.8034 Hf
2.2214 0.9168 8.1586 Hf
3.0553 2.7503 2.9944 Hf
4.0331 0.9168 0.6393 Hf
4.7581 2.7503 6.4145 Hf
5.7953 0.9168 3.9138 Hf
6.5203 2.7503 9.6890 Hf
7.4981 0.9168 7.3339 Hf
8.3320 2.7503 2.1697 Hf
9.3098 0.9168 4.5249 Hf
10.0348 2.7503 9.0780 Hf
1.3683 0.9168 3.8580 Be
3.9084 2.7503 9.0222 Be
6.6450 0.9168 1.3061 Be
9.1851 2.7503 6.4702 Be
0.3024 2.7503 3.2351 Si
2.0608 2.7503 10.2874 Si
3.2159 0.9168 5.1233 Si
4.9743 0.9168 8.3993 Si
5.5791 2.7503 1.9290 Si
7.3375 2.7503 5.2050 Si
8.4926 0.9168 0.0409 Si
10.2510 0.9168 7.0932 Si
```

Peak list (10 most intense, 2θ from 10° to 80°, in order of falling intensity)
two_theta  d_spacing  I (rel.)
35.78  2.509  100.0
30.93  2.891  57.8
27.18  3.281  57.0
30.75  2.907  45.9
39.56  2.278  38.0
34.48  2.601  34.6
36.45  2.465  34.4
35.11  2.556  27.3
49.73  1.834  25.8
58.17  1.586  19.7


No. 4
The following is a calculated powder XRD pattern of Hf5Be2Si5. It was derived from a cell relaxed with GGA-PBE, using Cu Kα (λ = 1.5418 Å).
Intensities are scaled so that the largest is 100.

```
Hf5Be2Si5
1.0
6.5828 -1.8537 0.0000
6.5828 1.8537 0.0000
-6.1765 0.0000 7.8540
Hf Be Si
5 2 5
Cartesian
0.0000 0.0000 0.0000 Hf
-1.1904 0.0000 3.3966 Hf
-2.4330 0.0000 6.6787 Hf
9.4221 0.0000 1.1753 Hf
8.1794 0.0000 4.4574 Hf
0.1174 0.0000 5.8168 Be
6.8717 0.0000 2.0372 Be
1.3739 0.0000 2.4319 Si
4.8129 0.0000 1.3476 Si
3.4945 0.0000 3.9270 Si
2.1762 0.0000 6.5064 Si
5.6151 0.0000 5.4221 Si
```

Peak list (10 most intense, 2θ from 10° to 80°, in order of falling intensity)
two_theta  d_spacing  I (rel.)
36.59  2.456  100.0
37.89  2.374  81.7
28.90  3.090  68.3
25.52  3.490  56.5
31.94  2.802  54.4
27.04  3.297  49.0
49.13  1.854  43.2
36.27  2.477  39.6
43.44  2.083  27.7
44.99  2.015  26.9


No. 5
The following is a calculated powder XRD pattern of Hf6BeSn2. It was derived from a cell relaxed with GGA-PBE, using Cu Kα (λ = 1.5418 Å).
Intensities are scaled so that the largest is 100.

```
Hf6BeSn2
1.0
5.9863 0.0000 0.0000
0.0000 5.9863 0.0000
0.0000 0.0000 12.8010
Hf Be Sn
12 2 4
Cartesian
1.1302 1.1302 1.6410 Hf
1.1302 1.1302 11.1600 Hf
1.2724 1.2724 6.4005 Hf
1.7207 4.2656 0.0000 Hf
1.8629 4.1234 4.7595 Hf
1.8629 4.1234 8.0415 Hf
4.1234 1.8629 4.7595 Hf
4.1234 1.8629 8.0415 Hf
4.2656 1.7207 0.0000 Hf
4.7139 4.7139 6.4005 Hf
4.8561 4.8561 1.6410 Hf
4.8561 4.8561 11.1600 Hf
0.0000 0.0000 0.0000 Be
2.9931 2.9931 6.4005 Be
0.0000 0.0000 4.0389 Sn
0.0000 0.0000 8.7621 Sn
2.9931 2.9931 2.3616 Sn
2.9931 2.9931 10.4394 Sn
```

Peak list (10 most intense, 2θ from 10° to 80°, in order of falling intensity)
two_theta  d_spacing  I (rel.)
29.73  3.005  100.0
33.47  2.677  44.1
41.21  2.190  36.8
50.49  1.808  33.9
39.75  2.268  30.6
66.23  1.411  26.9
29.85  2.993  26.0
20.99  4.233  25.9
33.04  2.711  25.3
42.72  2.116  24.4


No. 6
The following is a calculated powder XRD pattern of HfTa2Be6. It was derived from a cell relaxed with GGA-PBE, using Cu Kα (λ = 1.5418 Å).
Intensities are scaled so that the largest is 100.

```
HfTa2Be6
1.0
6.4045 0.0000 0.0000
-3.2023 5.5465 0.0000
0.0000 0.0000 3.0362
Hf Ta Be
1 2 6
Cartesian
0.0000 0.0000 0.0000 Hf
0.0000 3.6977 0.0000 Ta
3.2023 1.8488 0.0000 Ta
-1.0802 1.8709 1.5181 Be
-2.1221 3.6755 1.5181 Be
2.1604 0.0000 1.5181 Be
1.0802 1.8709 1.5181 Be
4.2441 0.0000 1.5181 Be
2.1221 3.6755 1.5181 Be
```

Peak list (10 most intense, 2θ from 10° to 80°, in order of falling intensity)
two_theta  d_spacing  I (rel.)
27.86  3.202  100.0
40.96  2.203  83.0
29.42  3.036  26.9
49.29  1.849  26.0
58.45  1.579  24.3
65.96  1.416  20.6
68.39  1.372  16.2
57.56  1.601  13.6
79.13  1.210  10.9
61.04  1.518  4.6


No. 7
The following is a calculated powder XRD pattern of HfTaBe17. It was derived from a cell relaxed with GGA-PBE, using Cu Kα (λ = 1.5418 Å).
Intensities are scaled so that the largest is 100.

```
HfTaBe17
1.0
3.7048 2.1390 3.6041
-3.7048 2.1390 3.6041
0.0000 -4.2779 3.6041
Hf Ta Be
1 1 17
Cartesian
0.0000 0.0000 0.0000 Hf
0.0000 0.0000 7.3166 Ta
-1.0871 -1.8636 3.6613 Be
-2.1575 -0.0096 3.6613 Be
-1.8646 -1.0765 5.5677 Be
0.0000 0.0000 2.6281 Be
1.0871 -1.8636 3.6613 Be
0.0000 -2.1335 5.4686 Be
-1.0704 1.8732 3.6613 Be
-1.8476 1.0667 5.4686 Be
0.0000 0.0000 4.7310 Be
-1.8201 -1.0508 8.9544 Be
2.1575 -0.0096 3.6613 Be
1.0704 1.8732 3.6613 Be
1.8646 -1.0765 5.5677 Be
0.0000 2.1530 5.5677 Be
1.8476 1.0667 5.4686 Be
1.8201 -1.0508 8.9544 Be
0.0000 2.1017 8.9544 Be
```

Peak list (10 most intense, 2θ from 10° to 80°, in order of falling intensity)
two_theta  d_spacing  I (rel.)
24.02  3.705  100.0
34.73  2.583  89.7
16.06  5.518  66.2
49.56  1.839  41.9
24.70  3.604  31.4
42.25  2.139  30.2
21.49  4.134  26.0
72.41  1.305  22.6
49.19  1.852  22.4
50.60  1.804  20.5


No. 8
The following is a calculated powder XRD pattern of HfTa2Be9. It was derived from a cell relaxed with GGA-PBE, using Cu Kα (λ = 1.5418 Å).
Intensities are scaled so that the largest is 100.

```
HfTa2Be9
1.0
4.6007 0.0000 0.0000
-2.3003 3.9843 0.0000
0.0000 0.0000 14.2214
Hf Ta Be
2 4 18
Cartesian
0.0000 2.6562 3.5554 Hf
2.3003 1.3281 10.6661 Hf
0.0000 2.6562 0.5238 Ta
0.0000 2.6562 6.5869 Ta
2.3003 1.3281 7.6345 Ta
2.3003 1.3281 13.6976 Ta
0.0000 0.0000 0.0000 Be
0.0000 0.0000 3.5554 Be
0.0000 0.0000 7.1107 Be
0.0000 0.0000 10.6661 Be
0.0000 1.3511 8.9029 Be
0.0000 1.3511 12.4292 Be
-1.1303 3.3088 8.9029 Be
-1.1303 3.3088 12.4292 Be
0.0000 2.6562 10.6661 Be
1.1701 0.6755 1.7922 Be
1.1701 0.6755 5.3185 Be
1.1303 3.3088 8.9029 Be
1.1303 3.3088 12.4292 Be
2.3003 1.3281 3.5554 Be
3.4306 0.6755 1.7922 Be
3.4306 0.6755 5.3185 Be
2.3003 2.6332 1.7922 Be
2.3003 2.6332 5.3185 Be
```

Peak list (10 most intense, 2θ from 10° to 80°, in order of falling intensity)
two_theta  d_spacing  I (rel.)
38.90  2.315  100.0
23.18  3.837  85.2
39.16  2.300  74.3
22.31  3.984  67.1
47.05  1.931  53.6
25.05  3.555  37.2
70.80  1.331  34.8
56.39  1.632  30.0
33.79  2.653  27.9
12.45  7.111  24.2


No. 9
The following is a calculated powder XRD pattern of HfTi2Be9. It was derived from a cell relaxed with GGA-PBE, using Cu Kα (λ = 1.5418 Å).
Intensities are scaled so that the largest is 100.

```
HfTi2Be9
1.0
4.5391 0.0000 0.0000
-2.2696 3.9310 0.0000
0.0000 0.0000 14.2761
Hf Ti Be
2 4 18
Cartesian
0.0000 2.6207 3.5690 Hf
2.2696 1.3103 10.7071 Hf
0.0000 2.6207 0.4899 Ti
0.0000 2.6207 6.6482 Ti
2.2696 1.3103 7.6279 Ti
2.2696 1.3103 13.7862 Ti
0.0000 0.0000 0.0000 Be
0.0000 0.0000 3.5690 Be
0.0000 0.0000 7.1380 Be
0.0000 0.0000 10.7071 Be
0.0000 1.3169 8.9513 Be
0.0000 1.3169 12.4628 Be
-1.1291 3.2726 8.9513 Be
-1.1291 3.2726 12.4628 Be
0.0000 2.6207 10.7071 Be
1.1405 0.6584 1.8133 Be
1.1405 0.6584 5.3248 Be
1.1291 3.2726 8.9513 Be
1.1291 3.2726 12.4628 Be
2.2696 1.3103 3.5690 Be
3.3987 0.6584 1.8133 Be
3.3987 0.6584 5.3248 Be
2.2696 2.6141 1.8133 Be
2.2696 2.6141 5.3248 Be
```

Peak list (10 most intense, 2θ from 10° to 80°, in order of falling intensity)
two_theta  d_spacing  I (rel.)
23.47  3.790  100.0
38.99  2.310  57.4
47.47  1.915  44.5
39.71  2.270  40.3
22.62  3.931  32.3
24.95  3.569  28.5
29.47  3.031  25.4
12.40  7.138  24.8
46.65  1.947  23.2
33.93  2.642  21.8


No. 10
The following is a calculated powder XRD pattern of HfBe9V2. It was derived from a cell relaxed with GGA-PBE, using Cu Kα (λ = 1.5418 Å).
Intensities are scaled so that the largest is 100.

```
HfBe9V2
1.0
4.4356 0.0000 0.0000
-2.2178 3.8414 0.0000
0.0000 0.0000 13.9259
Hf Be V
2 18 4
Cartesian
0.0000 2.5609 3.4815 Hf
2.2178 1.2805 10.4445 Hf
0.0000 0.0000 0.0000 Be
0.0000 0.0000 3.4815 Be
0.0000 0.0000 6.9630 Be
0.0000 0.0000 10.4445 Be
0.0000 1.3015 8.6674 Be
0.0000 1.3015 12.2215 Be
-1.0907 3.1906 8.6674 Be
-1.0907 3.1906 12.2215 Be
0.0000 2.5609 10.4445 Be
1.1272 0.6508 1.7044 Be
1.1272 0.6508 5.2586 Be
1.0907 3.1906 8.6674 Be
1.0907 3.1906 12.2215 Be
2.2178 1.2805 3.4815 Be
3.3085 0.6508 1.7044 Be
3.3085 0.6508 5.2586 Be
2.2178 2.5398 1.7044 Be
2.2178 2.5398 5.2586 Be
0.0000 2.5609 0.4663 V
0.0000 2.5609 6.4966 V
2.2178 1.2805 7.4293 V
2.2178 1.2805 13.4596 V
```

Peak list (10 most intense, 2θ from 10° to 80°, in order of falling intensity)
two_theta  d_spacing  I (rel.)
24.03  3.703  100.0
39.98  2.255  57.2
48.68  1.871  45.0
40.68  2.218  41.1
23.15  3.841  34.0
25.59  3.481  29.5
30.20  2.959  24.6
47.80  1.903  22.7
34.78  2.580  22.2
12.71  6.963  20.4


No. 11
The following is a calculated powder XRD pattern of HfBe5V. It was derived from a cell relaxed with GGA-PBE, using Cu Kα (λ = 1.5418 Å).
Intensities are scaled so that the largest is 100.

```
HfBe5V
1.0
7.3065 0.0000 0.0000
0.0000 4.4963 0.0000
0.0000 0.0000 9.1577
Hf Be V
4 20 4
Cartesian
1.7687 1.1241 0.5797 Hf
1.8846 3.3722 5.1585 Hf
5.4220 1.1241 3.9992 Hf
5.5378 3.3722 8.5780 Hf
0.3956 3.3722 1.0991 Be
0.5184 0.0312 2.9146 Be
0.5184 2.2169 2.9146 Be
0.6392 1.1241 4.7264 Be
1.3528 1.1241 6.8373 Be
2.3005 3.3722 2.2585 Be
3.0141 3.3722 0.1475 Be
3.1349 2.2794 7.4935 Be
3.1349 4.4651 7.4935 Be
3.2577 1.1241 5.6780 Be
4.0488 3.3722 3.4797 Be
4.1716 0.0312 1.6642 Be
4.1716 2.2169 1.6642 Be
4.2925 1.1241 9.0102 Be
5.0060 1.1241 6.8992 Be
5.9537 3.3722 2.3204 Be
6.6673 3.3722 4.4313 Be
6.7881 2.2794 6.2431 Be
6.7881 4.4651 6.2431 Be
6.9109 1.1241 8.0586 Be
0.9143 3.3722 7.9377 V
2.7390 1.1241 3.3588 V
4.5675 3.3722 5.7989 V
6.3922 1.1241 1.2200 V
```

Peak list (10 most intense, 2θ from 10° to 80°, in order of falling intensity)
two_theta  d_spacing  I (rel.)
25.21  3.533  100.0
43.39  2.085  51.1
35.55  2.526  44.1
24.36  3.653  41.2
43.57  2.077  39.7
22.02  4.036  35.7
19.39  4.579  31.4
41.33  2.185  28.1
22.92  3.880  27.7
31.32  2.856  24.0